No. 1
Starting from the GGA-PBE geometry in the Materials Project, the powder diffractogram of MgTi2O4 was calculated for Cu Kα (weighted mean of Kα1 and Kα2).
Intensities are scaled so that the largest is 100.

Principal peaks in the range 10° ≤ 2θ ≤ 80°, by angle:
17.71 deg, I = 35.6
32.13 deg, I = 27.6
32.62 deg, I = 100.0
40.60 deg, I = 20.2
41.87 deg, I = 23.2
42.88 deg, I = 50.1
45.79 deg, I = 56.5
56.60 deg, I = 28.6
60.47 deg, I = 18.6
64.31 deg, I = 40.2

Structure:
abc: 2.9101 9.6463 10.0138
angles: 90.00 90.00 90.00
Space group Cmcm (No. 63)
Inequivalent atoms, fractional coordinates:
Mg  0.0000  0.1193  0.2500 x4
Ti  0.0000  0.3730  0.0698 x8
O  0.0000  0.0000  0.0000 x4
O  0.0000  0.2749  0.6168 x8
O  0.0000  0.4649  0.2500 x4


No. 2
Starting from the GGA-PBE geometry in the Materials Project, the powder diffractogram of Y2S3O20 was calculated for Cu Kα (weighted mean of Kα1 and Kα2).
Intensities are scaled so that the largest is 100.

Principal peaks in the range 10° ≤ 2θ ≤ 80°, by angle:
13.22 deg, I = 58.2
14.76 deg, I = 66.9
15.34 deg, I = 100.0
18.29 deg, I = 50.4
19.78 deg, I = 63.7
23.93 deg, I = 42.0
25.40 deg, I = 39.9
26.56 deg, I = 42.1
29.77 deg, I = 44.4
36.17 deg, I = 41.0

Structure:
abc: 13.5269 6.7134 18.1288
angles: 90.00 98.06 90.00
Space group C2/c (No. 15)
Inequivalent atoms, fractional coordinates:
Y  0.1718  0.0139  0.3922 x8
S  0.0000  0.2683  0.2500 x4
S  0.2250  0.0277  0.0921 x8
O  0.0144  0.1148  0.6150 x8
O  0.0323  0.3962  0.1896 x8
O  0.0375  0.1329  0.4461 x8
O  0.0832  0.1403  0.2852 x8
O  0.1540  0.0434  0.1471 x8
O  0.1547  0.4540  0.5779 x8
O  0.1766  0.0691  0.0149 x8
O  0.1846  0.4665  0.1906 x8
O  0.1945  0.3232  0.8862 x8
O  0.2276  0.3275  0.4060 x8


No. 3
Starting from the GGA-PBE geometry in the Materials Project, the powder diffractogram of TbGePt was calculated for Cu Kα (weighted mean of Kα1 and Kα2).
Intensities are scaled so that the largest is 100.

Principal peaks in the range 10° ≤ 2θ ≤ 80°, by angle:
26.57 deg, I = 27.9
33.51 deg, I = 40.4
34.46 deg, I = 39.4
34.58 deg, I = 100.0
39.94 deg, I = 25.4
40.84 deg, I = 62.2
41.15 deg, I = 40.7
54.72 deg, I = 21.2
58.69 deg, I = 16.8
66.29 deg, I = 22.7

Structure:
abc: 7.0859 4.3872 7.6726
angles: 90.00 90.00 90.00
Space group Pnma (No. 62)
Inequivalent atoms, fractional coordinates:
Tb  0.0039  0.2500  0.2033 x4
Ge  0.1881  0.2500  0.5873 x4
Pt  0.2052  0.7500  0.4139 x4